This entry pairs a crystal structure of LiFe5O5F with its theoretical powder diffraction line list. Radiation: copper Kα. Structure: a cell relaxed with PBE+U.
Intensities are scaled so that the largest is 100.

Cell: 6.1756 3.5705 13.4134 Å, 90.00 90.06 90.00°
Space group Cm (No. 8)
Asymmetric unit:
Li  0.0000  0.0000  0.0000 (multiplicity 2)
Fe  0.0026  0.0000  0.6653 (multiplicity 2)
Fe  0.0044  0.0000  0.3278 (multiplicity 2)
Fe  0.3260  0.0000  0.8305 (multiplicity 2)
Fe  0.3277  0.0000  0.4962 (multiplicity 2)
Fe  0.3408  0.0000  0.1621 (multiplicity 2)
O  0.0035  0.0000  0.8350 (multiplicity 2)
O  0.0051  0.0000  0.4952 (multiplicity 2)
O  0.3483  0.0000  0.3278 (multiplicity 2)
O  0.3477  0.0000  0.6628 (multiplicity 2)
O  0.4964  0.5000  0.1555 (multiplicity 2)
F  0.3360  0.0000  0.9962 (multiplicity 2)

Peak list (8 most intense, 2θ from 10° to 90°, low angle first)
hkl 0 0 2, 13.20°, intensity 13; hkl 1 1 0, 28.89°, intensity 100; hkl 2 0 3, 35.31°, intensity 79; hkl 0 0 6, 40.34°, intensity 47; hkl 1 1 6, 50.38°, intensity 36; hkl 0 2 0, 51.21°, intensity 65; hkl 2 2 3, 63.73°, intensity 15; hkl 0 2 6, 67.13°, intensity 50

This entry pairs a crystal structure of LiFe2O2F3 with its theoretical powder diffraction line list. Radiation: copper Kα. Structure: a cell relaxed with PBE+U.
Intensities are scaled so that the largest is 100.

Cell: 10.8225 5.0884 7.1004 Å, 90.00 111.58 90.00°
Space group C2/c (No. 15)
Asymmetric unit:
Li  0.0000  0.0000  0.0000 (multiplicity 4)
Fe  0.1913  0.4785  0.3697 (multiplicity 8)
O  0.1987  0.3256  0.6345 (multiplicity 8)
F  0.0000  0.3297  0.2500 (multiplicity 4)
F  0.1284  0.1815  0.9534 (multiplicity 8)

Peak list (8 most intense, 2θ from 10° to 90°, low angle first)
hkl 2 0 0, 17.63°, intensity 100; hkl 1 1 0, 19.55°, intensity 30; hkl 2 0 -2, 26.28°, intensity 35; hkl 1 1 -2, 30.73°, intensity 78; hkl 3 1 0, 31.96°, intensity 53; hkl 2 2 0, 39.74°, intensity 28; hkl 5 1 0, 48.65°, intensity 33; hkl 4 2 -2, 51.33°, intensity 34

This entry pairs a crystal structure of Li3Fe4O3F9 with its theoretical powder diffraction line list. Radiation: copper Kα. Structure: a cell relaxed with PBE+U.
Intensities are scaled so that the largest is 100.

Cell: 5.9541 6.0091 6.0379 Å, 99.88 99.28 98.92°
Space group P1 (No. 1)
Asymmetric unit:
Li  0.0000  0.0000  0.0000 (multiplicity 1)
Li  0.1571  0.2595  0.5402 (multiplicity 1)
Li  0.4265  0.9290  0.7298 (multiplicity 1)
Fe  0.3039  0.6017  0.1249 (multiplicity 1)
Fe  0.6295  0.2354  0.2820 (multiplicity 1)
Fe  0.7335  0.4820  0.8222 (multiplicity 1)
Fe  0.9007  0.7266  0.4503 (multiplicity 1)
O  0.9998  0.6537  0.0246 (multiplicity 1)
O  0.6227  0.5506  0.2332 (multiplicity 1)
O  0.8808  0.4230  0.5494 (multiplicity 1)
F  0.0991  0.9908  0.7048 (multiplicity 1)
F  0.2276  0.2824  0.1802 (multiplicity 1)
F  0.2395  0.7055  0.4395 (multiplicity 1)
F  0.3845  0.4816  0.8176 (multiplicity 1)
F  0.4303  0.9258  0.0880 (multiplicity 1)
F  0.4804  0.1659  0.5343 (multiplicity 1)
F  0.6928  0.7744  0.6961 (multiplicity 1)
F  0.7278  0.2017  0.9596 (multiplicity 1)
F  0.8689  0.0085  0.3102 (multiplicity 1)

Peak list (8 most intense, 2θ from 10° to 90°, low angle first)
hkl 0 1 0, 15.22°, intensity 69; hkl 1 -1 0, 19.49°, intensity 47; hkl 1 0 1, 23.68°, intensity 48; hkl 1 -1 1, 24.74°, intensity 35; hkl 0 2 -1, 31.46°, intensity 100; hkl 1 0 -2, 31.57°, intensity 55; hkl 2 -1 0, 31.93°, intensity 48; hkl 0 1 3, 52.52°, intensity 45

This entry pairs a crystal structure of LiFe7O3F9 with its theoretical powder diffraction line list. Radiation: copper Kα. Structure: a cell relaxed with PBE+U.
Intensities are scaled so that the largest is 100.

Cell: 5.4496 5.7229 9.1948 Å, 74.26 88.96 62.38°
Space group P1 (No. 1)
Asymmetric unit:
Li  0.0000  0.0000  0.0000 (multiplicity 1)
Fe  0.0285  0.9146  0.3557 (multiplicity 1)
Fe  0.2945  0.4961  0.7604 (multiplicity 1)
Fe  0.3248  0.3668  0.1231 (multiplicity 1)
Fe  0.4741  0.0092  0.4961 (multiplicity 1)
Fe  0.5730  0.8594  0.8520 (multiplicity 1)
Fe  0.7642  0.4656  0.2665 (multiplicity 1)
Fe  0.8310  0.3873  0.6073 (multiplicity 1)
O  0.0453  0.2007  0.4592 (multiplicity 1)
O  0.5361  0.6799  0.6987 (multiplicity 1)
O  0.6029  0.1765  0.3057 (multiplicity 1)
F  0.0003  0.6857  0.2092 (multiplicity 1)
F  0.0286  0.6735  0.9166 (multiplicity 1)
F  0.0595  0.1875  0.1365 (multiplicity 1)
F  0.1318  0.1862  0.8155 (multiplicity 1)
F  0.4675  0.7026  0.3888 (multiplicity 1)
F  0.4815  0.6730  0.0595 (multiplicity 1)
F  0.5712  0.1821  0.6584 (multiplicity 1)
F  0.5726  0.1645  0.9589 (multiplicity 1)
F  0.9955  0.6794  0.5698 (multiplicity 1)

Peak list (8 most intense, 2θ from 10° to 90°, low angle first)
hkl 0 1 2, 22.91°, intensity 54; hkl -1 1 1, 31.02°, intensity 51; hkl 0 1 -2, 31.34°, intensity 100; hkl 2 1 0, 32.88°, intensity 39; hkl 1 1 3, 33.29°, intensity 36; hkl 1 0 -3, 33.82°, intensity 37; hkl -1 2 3, 50.97°, intensity 39; hkl 3 2 3, 58.61°, intensity 33

This entry pairs a crystal structure of LiFe6O4F8 with its theoretical powder diffraction line list. Radiation: copper Kα. Structure: a cell relaxed with PBE+U.
Intensities are scaled so that the largest is 100.

Cell: 9.4765 6.6649 7.5322 Å, 90.00 110.47 90.00°
Space group C2 (No. 5)
Asymmetric unit:
Li  0.0000  0.0000  0.0000 (multiplicity 2)
Fe  0.0000  0.6150  0.0000 (multiplicity 2)
Fe  0.0000  0.7476  0.5000 (multiplicity 2)
Fe  0.1485  0.2455  0.6579 (multiplicity 4)
Fe  0.1993  0.2812  0.1819 (multiplicity 4)
O  0.0000  0.0509  0.5000 (multiplicity 2)
O  0.0000  0.4519  0.5000 (multiplicity 2)
O  0.2017  0.5716  0.1754 (multiplicity 4)
F  0.0481  0.2511  0.8637 (multiplicity 4)
F  0.0664  0.7649  0.7897 (multiplicity 4)
F  0.2005  0.9792  0.1790 (multiplicity 4)
F  0.2192  0.7579  0.5178 (multiplicity 4)

Peak list (8 most intense, 2θ from 10° to 90°, low angle first)
hkl 2 0 -2, 26.20°, intensity 100; hkl 0 2 0, 26.75°, intensity 67; hkl 3 1 0, 33.12°, intensity 49; hkl 1 1 2, 33.28°, intensity 62; hkl 1 3 -1, 42.82°, intensity 22; hkl 5 1 -2, 50.69°, intensity 25; hkl 1 1 -4, 51.00°, intensity 33; hkl 4 0 -4, 53.91°, intensity 20

This entry pairs a crystal structure of Li3FeO2F with its theoretical powder diffraction line list. Radiation: copper Kα. Structure: a cell relaxed with PBE+U.
Intensities are scaled so that the largest is 100.

Cell: 8.7885 9.7075 3.5920 Å, 90.00 90.00 90.00°
Space group Pnnm (No. 58)
Asymmetric unit:
Li  0.1009  0.1590  0.0000 (multiplicity 4)
Li  0.1433  0.9222  0.5000 (multiplicity 4)
Li  0.1634  0.3227  0.5000 (multiplicity 4)
Fe  0.1174  0.5954  0.0000 (multiplicity 4)
O  0.1050  0.3838  0.0000 (multiplicity 4)
O  0.1672  0.1201  0.5000 (multiplicity 4)
F  0.1171  0.8479  0.0000 (multiplicity 4)

Peak list (8 most intense, 2θ from 10° to 90°, low angle first)
hkl 1 1 0, 13.59°, intensity 93; hkl 0 1 1, 26.46°, intensity 100; hkl 1 0 1, 26.81°, intensity 96; hkl 1 1 1, 28.37°, intensity 56; hkl 0 4 0, 37.04°, intensity 49; hkl 4 0 0, 41.08°, intensity 46; hkl 0 0 2, 50.84°, intensity 29; hkl 0 5 1, 53.66°, intensity 29

This entry pairs a crystal structure of Li3Fe2P2O8F2 with its theoretical powder diffraction line list. Radiation: copper Kα. Structure: a cell relaxed with PBE+U.
Intensities are scaled so that the largest is 100.

Cell: 5.2116 5.3953 7.4154 Å, 106.71 107.73 97.15°
Space group P-1 (No. 2)
Asymmetric unit:
Li  0.0000  0.0000  0.0000 (multiplicity 1)
Li  0.2530  0.4138  0.3461 (multiplicity 2)
Fe  0.5000  0.0000  0.0000 (multiplicity 1)
Fe  0.5000  0.0000  0.5000 (multiplicity 1)
P  0.1624  0.3605  0.7399 (multiplicity 2)
O  0.1379  0.7589  0.4216 (multiplicity 2)
O  0.1667  0.6571  0.8379 (multiplicity 2)
O  0.2237  0.2152  0.8923 (multiplicity 2)
O  0.3720  0.3351  0.6234 (multiplicity 2)
F  0.3515  0.0833  0.2444 (multiplicity 2)

Peak list (8 most intense, 2θ from 10° to 90°, low angle first)
hkl 0 1 0, 17.65°, intensity 25; hkl 1 0 0, 18.40°, intensity 34; hkl -1 1 1, 25.88°, intensity 18; hkl 1 -1 1, 26.42°, intensity 21; hkl 0 1 -2, 26.62°, intensity 100; hkl 1 1 0, 28.46°, intensity 56; hkl 1 -2 0, 36.26°, intensity 18; hkl 0 3 0, 54.82°, intensity 17

This entry pairs a crystal structure of Li2FePO4F with its theoretical powder diffraction line list. Radiation: copper Kα. Structure: a cell relaxed with PBE+U.
Intensities are scaled so that the largest is 100.

Cell: 5.3745 5.4458 7.5349 Å, 107.73 108.46 95.00°
Space group P1 (No. 1)
Asymmetric unit:
Li  0.0000  0.0000  0.0000 (multiplicity 1)
Li  0.0254  0.2232  0.3841 (multiplicity 1)
Li  0.2822  0.5056  0.2273 (multiplicity 1)
Li  0.6679  0.6028  0.6399 (multiplicity 1)
Fe  0.5029  0.0564  0.0249 (multiplicity 1)
Fe  0.5180  0.0562  0.5394 (multiplicity 1)
P  0.1702  0.4314  0.7823 (multiplicity 1)
P  0.8547  0.6910  0.2905 (multiplicity 1)
O  0.1522  0.7967  0.4296 (multiplicity 1)
O  0.1853  0.7267  0.8905 (multiplicity 1)
O  0.2325  0.2929  0.9395 (multiplicity 1)
O  0.3614  0.3890  0.6629 (multiplicity 1)
O  0.6552  0.7114  0.4033 (multiplicity 1)
O  0.7897  0.8600  0.1545 (multiplicity 1)
O  0.8374  0.3935  0.1775 (multiplicity 1)
O  0.8805  0.3144  0.6205 (multiplicity 1)
F  0.3301  0.1682  0.2683 (multiplicity 1)
F  0.6637  0.9497  0.7952 (multiplicity 1)

Peak list (8 most intense, 2θ from 10° to 90°, low angle first)
hkl 0 1 0, 17.46°, intensity 17; hkl 1 0 0, 17.78°, intensity 20; hkl -1 1 1, 25.85°, intensity 22; hkl 0 1 -2, 26.20°, intensity 100; hkl 1 1 0, 27.48°, intensity 48; hkl 1 -2 0, 36.29°, intensity 15; hkl 2 1 0, 43.55°, intensity 20; hkl 2 0 2, 53.15°, intensity 19